Entry 1:
This entry pairs a crystal structure of Sc2CrB6 with its calculated powder diffraction line list. Radiation: Cu Kα. Structure: a structure optimized by DFT (GGA-PBE).
Peak positions follow from Bragg's law for the DFT cell and can differ from measured ones.

The 6 most intense peaks (10° ≤ 2θ ≤ 80°), by angle:
d_spacing	two_theta	I_rel	index
3.371	26.44	100	0 0 1
2.868	31.19	58	3 1 0
2.184	41.33	99	3 1 1
2.179	41.44	84	2 3 1
2.091	43.28	92	1 4 1
2.069	43.76	67	3 2 1

Structure:
```
data_Sc2CrB6
_chemical_formula_sum 'Sc8 Cr4 B24'
_space_group_name_H-M_alt 'P b a m'
_space_group_IT_number 55
_space_group_name_Hall '-P 2 2ab'
_cell_length_a 8.9014
_cell_length_b 11.1707
_cell_length_c 3.3715
_cell_angle_alpha 90.00
_cell_angle_beta 90.00
_cell_angle_gamma 90.00
loop_
_atom_site_label
_atom_site_type_symbol
_atom_site_fract_x
_atom_site_fract_y
_atom_site_fract_z
Sc1 Sc 0.0569 0.1310 0.0000
Sc2 Sc 0.1767 0.4145 0.0000
Cr1 Cr 0.1414 0.6807 0.0000
B1 B 0.0190 0.2885 0.5000
B2 B 0.0539 0.5654 0.5000
B3 B 0.0983 0.9732 0.5000
B4 B 0.1313 0.8176 0.5000
B5 B 0.2047 0.2372 0.5000
B6 B 0.2478 0.0798 0.5000
```



Entry 2:
This entry pairs a crystal structure of SmCr2B6 with its calculated powder diffraction line list. Radiation: Cu Kα. Structure: a structure optimized by DFT (GGA-PBE).
Peak positions follow from Bragg's law for the DFT cell and can differ from measured ones.

The 6 most intense peaks (10° ≤ 2θ ≤ 80°), by angle:
d_spacing	two_theta	I_rel	index
3.265	27.32	76	0 2 0
2.904	30.79	77	1 0 1
2.558	35.08	98	0 1 3
2.324	38.75	94	1 1 2
2.170	41.62	100	1 2 1
1.672	54.91	50	1 1 4

Structure:
```
data_SmCr2B6
_chemical_formula_sum 'Sm2 Cr4 B12'
_space_group_name_H-M_alt 'I m m m'
_space_group_IT_number 71
_space_group_name_Hall '-I 2 2'
_cell_length_a 3.0982
_cell_length_b 6.5291
_cell_length_c 8.3406
_cell_angle_alpha 90.00
_cell_angle_beta 90.00
_cell_angle_gamma 90.00
loop_
_atom_site_label
_atom_site_type_symbol
_atom_site_fract_x
_atom_site_fract_y
_atom_site_fract_z
Sm1 Sm 0.0000 0.0000 0.0000
Cr1 Cr 0.0000 0.5000 0.1535
B1 B 0.0000 0.1409 0.5000
B2 B 0.0000 0.2367 0.3030
```



Entry 3:
This entry pairs a crystal structure of SmCrB4 with its calculated powder diffraction line list. Radiation: Cu Kα. Structure: a structure optimized by DFT (GGA-PBE).
Peak positions follow from Bragg's law for the DFT cell and can differ from measured ones.

The 6 most intense peaks (10° ≤ 2θ ≤ 80°), by angle:
d_spacing	two_theta	I_rel	index
4.163	21.34	29	1 2 0
3.511	25.37	69	0 0 1
3.245	27.49	39	1 3 0
2.898	30.85	82	2 1 0
2.383	37.75	43	1 3 1
2.235	40.35	100	2 1 1

Structure:
```
data_SmCrB4
_chemical_formula_sum 'Sm4 Cr4 B16'
_space_group_name_H-M_alt 'P b a m'
_space_group_IT_number 55
_space_group_name_Hall '-P 2 2ab'
_cell_length_a 5.9905
_cell_length_b 11.5807
_cell_length_c 3.5110
_cell_angle_alpha 90.00
_cell_angle_beta 90.00
_cell_angle_gamma 90.00
loop_
_atom_site_label
_atom_site_type_symbol
_atom_site_fract_x
_atom_site_fract_y
_atom_site_fract_z
Sm1 Sm 0.1245 0.1511 0.0000
Cr1 Cr 0.1210 0.4217 0.0000
B1 B 0.0234 0.6899 0.5000
B2 B 0.1118 0.5461 0.5000
B3 B 0.1393 0.9673 0.5000
B4 B 0.2214 0.8175 0.5000
```



Entry 4:
This entry pairs a crystal structure of TaCrB4 with its calculated powder diffraction line list. Radiation: Cu Kα. Structure: a structure optimized by DFT (GGA-PBE).
Peak positions follow from Bragg's law for the DFT cell and can differ from measured ones.

The 6 most intense peaks (10° ≤ 2θ ≤ 80°), by angle:
d_spacing	two_theta	I_rel	index
6.208	14.27	65	0 0 1
3.104	28.76	37	0 0 2
2.658	33.72	86	1 0 0
2.443	36.79	46	1 0 1
2.019	44.90	100	1 0 2
1.534	60.32	23	1 1 0

Structure:
```
data_TaCrB4
_chemical_formula_sum 'Ta1 Cr1 B4'
_space_group_name_H-M_alt 'P 6/m m m'
_space_group_IT_number 191
_space_group_name_Hall '-P 6 2'
_cell_length_a 3.0688
_cell_length_b 3.0688
_cell_length_c 6.2078
_cell_angle_alpha 90.00
_cell_angle_beta 90.00
_cell_angle_gamma 120.00
loop_
_atom_site_label
_atom_site_type_symbol
_atom_site_fract_x
_atom_site_fract_y
_atom_site_fract_z
Ta1 Ta 0.0000 0.0000 0.0000
Cr1 Cr 0.0000 0.0000 0.5000
B1 B 0.3333 0.6667 0.2666
```